Starting from the PBE geometry in the Materials Project, the X-ray diffraction stick pattern of Zr3Mn2Ga6 was simulated for CuKα.
Kinematic intensities with the Lorentz-polarization factor, no thermal factor.

Main lines, most intense first (5 to 70 degrees two-theta):
2θ (°), I/Imax
40.96, 100.0
40.72, 98.8
38.75, 42.4
34.94, 40.7
41.25, 39.8
42.28, 34.9
35.17, 34.1
33.16, 18.3
40.16, 15.8
47.09, 15.7

```
data_Zr3Mn2Ga6
_chemical_formula_sum 'Zr6 Mn4 Ga12'
_cell_length_a 5.403
_cell_length_b 8.755
_cell_length_c 7.718
_cell_angle_alpha 90.00
_cell_angle_beta 90.00
_cell_angle_gamma 90.00
_space_group_name_H-M_alt 'P m m n'
_space_group_IT_number 59
loop_
_space_group_symop_operation_xyz
'x,y,z'
'-x,-y,-z'
'-x+1/2,-y+1/2,z'
'x+1/2,y+1/2,-z'
'x+1/2,-y,-z'
'-x+1/2,y,z'
'-x,y+1/2,-z'
'x,-y+1/2,z'
loop_
_atom_site_label
_atom_site_type_symbol
_atom_site_fract_x
_atom_site_fract_y
_atom_site_fract_z
Zr1 Zr 0.250 0.031 0.153
Zr2 Zr 0.250 0.750 0.720
Mn1 Mn 0.000 0.000 0.500
Ga1 Ga 0.010 0.750 0.044
Ga2 Ga 0.250 0.063 0.764
Ga3 Ga 0.250 0.250 0.436
Ga4 Ga 0.250 0.750 0.367
```